Calculated powder X-ray diffraction pattern
Compound: KMg14Mn
Radiation: Cu Kα
Structure: a cell relaxed with PBE
Neutral-atom scattering factors, no anomalous dispersion.

The 8 most intense peaks (2θ from 5° to 70°), by intensity:
2θ 36.34, d 2.472, rel. 100
2θ 34.44, d 2.604, rel. 25
2θ 31.86, d 2.809, rel. 25
2θ 62.94, d 1.477, rel. 18
2θ 47.62, d 1.910, rel. 15
2θ 68.17, d 1.376, rel. 12
2θ 56.82, d 1.620, rel. 11
2θ 69.23, d 1.357, rel. 9

Structure:
Unit cell a=10.416 b=6.481 c=6.481 alpha=60.18 beta=90.00 gamma=90.00
Element x y z (fractional)
K 0.000 0.000 0.000
Mg 0.000 0.006 0.497
Mg 0.000 0.497 0.006
Mg 0.241 0.663 0.663
Mg 0.256 0.176 0.654
Mg 0.256 0.654 0.176
Mg 0.263 0.170 0.170
Mg 0.500 0.500 0.500
Mg 0.500 0.501 0.998
Mg 0.500 0.998 0.501
Mg 0.500 0.998 0.998
Mg 0.737 0.170 0.170
Mg 0.744 0.176 0.654
Mg 0.744 0.654 0.176
Mg 0.759 0.663 0.663
Mn 0.000 0.496 0.496